For Na4ZnCdSi4O12, a structure optimized by DFT (PBE) gives the simulated powder XRD pattern in this record (Cu Kα X-rays).

Structure:
Cell: 5.233 5.233 11.577 Å, 102.45 102.45 92.55°
Element x y z (fractional)
Na: 0.067 0.558 0.159
Na: 0.160 0.160 0.355
Na: 0.442 0.933 0.841
Na: 0.840 0.840 0.645
Zn: 0.279 0.721 0.500
Cd: 0.028 0.972 0.000
Si: 0.001 0.405 0.825
Si: 0.421 0.315 0.665
Si: 0.595 0.999 0.175
Si: 0.685 0.579 0.335
O: 0.021 0.715 0.823
O: 0.092 0.356 0.960
O: 0.181 0.243 0.733
O: 0.285 0.979 0.177
O: 0.382 0.565 0.346
O: 0.384 0.100 0.538
O: 0.435 0.618 0.654
O: 0.644 0.908 0.040
O: 0.695 0.260 0.761
O: 0.740 0.305 0.239
O: 0.757 0.819 0.267
O: 0.900 0.616 0.462

The 10 most intense peaks (2θ = 5–70°), low angle first:
- 2θ = 17.44°, rel. 44
- 2θ = 20.87°, rel. 100
- 2θ = 26.48°, rel. 21
- 2θ = 34.06°, rel. 53
- 2θ = 34.31°, rel. 50
- 2θ = 34.84°, rel. 22
- 2θ = 39.44°, rel. 16
- 2θ = 48.75°, rel. 13
- 2θ = 60.77°, rel. 23
- 2θ = 61.81°, rel. 15